For MgTl4Ni4O12, a DFT-relaxed cell (GGA+U, Alexandria) gives the simulated powder XRD pattern in this record (Cu Kα (weighted mean of Kα1 and Kα2)).
No peak broadening, texture or thermal motion is included.

Principal peaks in the range 5 to 70 degrees two-theta, in order of rising 2θ:
| h k l | d_spacing | 2θ (°) | I (rel.) |
| --- | --- | --- | --- |
| 0 0 2 | 4.231 | 21.00 | 19 |
| 1 1 0 | 4.106 | 21.64 | 21 |
| 1 1 1 | 3.915 | 22.71 | 19 |
| 1 -1 0 | 3.689 | 24.13 | 17 |
| 1 1 2 | 3.177 | 28.09 | 20 |
| -1 1 2 | 2.799 | 31.97 | 20 |
| 1 -1 2 | 2.762 | 32.41 | 100 |
| 2 0 0 | 2.719 | 32.94 | 49 |
| 1 1 3 | 2.494 | 36.02 | 15 |
| 3 1 -2 | 1.578 | 58.47 | 18 |

Cell and atoms:
Cell lengths 5.4967, 5.6050, 8.5478 Å; angles 83.43, 84.55, 83.31 degrees
Atoms (fractional coordinates):
Mg  0.0000  0.0000  0.0000
Tl  0.4045  0.6666  0.6282
Tl  0.4639  0.7492  0.1566
Tl  0.9372  0.1395  0.6471
Tl  0.9590  0.3284  0.2399
Ni  0.4362  0.2231  0.8973
Ni  0.4409  0.2285  0.4354
Ni  0.8654  0.6212  0.8652
Ni  0.9267  0.7466  0.4126
O  0.0490  0.7089  0.1863
O  0.0620  0.3211  0.8421
O  0.1111  0.4355  0.4694
O  0.1458  0.8063  0.8230
O  0.2193  0.9529  0.4700
O  0.2661  0.1252  0.1077
O  0.5348  0.2755  0.6624
O  0.6127  0.5351  0.3599
O  0.6367  0.4443  0.9926
O  0.6837  0.9161  0.9420
O  0.7325  0.0377  0.3398
O  0.7868  0.7628  0.6322